(1)
Theoretical X-ray diffraction stick pattern
Compound: Er5Sc4Cd2
Radiation: λ = 1.5418 Å (Cu Kα)
Structure: a PBE-relaxed structure
Intensities are scaled so that the largest is 100.

Principal peaks in the range 10 to 90 degrees two-theta, by angle:
2θ = 16.91°, I 17.1, hkl 1 3 0
2θ = 20.63°, I 29.5, hkl 1 4 0
2θ = 31.38°, I 20.0, hkl 0 4 1
2θ = 32.80°, I 26.5, hkl 3 2 0
2θ = 33.14°, I 100.0, hkl 1 4 1
2θ = 34.20°, I 21.0, hkl 2 6 0
2θ = 34.35°, I 15.6, hkl 3 3 0
2θ = 34.52°, I 71.7, hkl 2 2 1
2θ = 35.86°, I 36.4, hkl 1 5 1
2θ = 36.00°, I 27.3, hkl 0 8 0
2θ = 52.71°, I 17.6, hkl 0 0 2
2θ = 54.07°, I 14.6, hkl 1 10 1

Lattice parameters (Å, degrees): 8.5152 19.9615 3.4730 90.00 90.00 90.00
Space group Pbam (No. 55)
Inequivalent atoms, fractional coordinates:
Er 0.0000 0.0000 0.0000 [2 per cell]
Er 0.1260 0.4345 0.0000 [4 per cell]
Er 0.2378 0.2162 0.0000 [4 per cell]
Sc 0.0725 0.8535 0.5000 [4 per cell]
Sc 0.2178 0.5740 0.5000 [4 per cell]
Cd 0.0355 0.3096 0.5000 [4 per cell]

=====

(2)
Theoretical X-ray diffraction stick pattern
Compound: Li3TbPm2Se6
Radiation: λ = 1.5418 Å (Cu Kα)
Structure: a PBE-relaxed structure
Intensities are scaled so that the largest is 100.

Principal peaks in the range 10 to 90 degrees two-theta, by angle:
2θ = 13.59°, I 44.5, hkl 0 0 1
2θ = 25.20°, I 36.8, hkl 1 3 0
2θ = 30.89°, I 100.0, hkl 1 3 1
2θ = 33.89°, I 19.4, hkl 2 0 1
2θ = 43.64°, I 38.4, hkl 0 6 0
2θ = 44.86°, I 35.2, hkl 2 0 2
2θ = 45.91°, I 13.0, hkl 3 3 0
2θ = 54.42°, I 19.9, hkl 4 0 0
2θ = 64.37°, I 11.9, hkl 2 6 2
2θ = 72.21°, I 17.0, hkl 4 6 0
2θ = 73.99°, I 10.5, hkl 0 6 4
2θ = 81.01°, I 12.4, hkl 5 3 1

Lattice parameters (Å, degrees): 7.1848 12.4457 6.9423 90.00 110.17 90.00
Space group C2/m (No. 12)
Inequivalent atoms, fractional coordinates:
Li 0.0000 0.0000 0.0000 [2 per cell]
Li 0.0000 0.3354 0.0000 [4 per cell]
Tb 0.0000 0.5000 0.5000 [2 per cell]
Pm 0.0000 0.1668 0.5000 [4 per cell]
Se 0.2427 0.5000 0.2440 [4 per cell]
Se 0.2503 0.1640 0.2427 [8 per cell]

=====

(3)
Theoretical X-ray diffraction stick pattern
Compound: Li4Al2Ag5
Radiation: λ = 1.5418 Å (Cu Kα)
Structure: a PBE-relaxed structure
Intensities are scaled so that the largest is 100.

Principal peaks in the range 10 to 90 degrees two-theta, by angle:
2θ = 20.55°, I 26.4, hkl 0 4 0
2θ = 23.84°, I 100.0, hkl 1 4 0
2θ = 24.60°, I 21.6, hkl 2 1 0
2θ = 26.19°, I 45.1, hkl 2 2 0
2θ = 31.07°, I 55.6, hkl 0 0 1
2θ = 37.92°, I 17.0, hkl 3 2 0
2θ = 38.43°, I 19.6, hkl 1 7 0
2θ = 39.54°, I 68.4, hkl 1 4 1
2θ = 39.71°, I 28.9, hkl 3 3 0
2θ = 41.08°, I 48.7, hkl 2 2 1
2θ = 42.66°, I 27.1, hkl 1 5 1
2θ = 48.94°, I 25.3, hkl 1 9 0

Lattice parameters (Å, degrees): 7.4018 17.2865 2.8782 90.00 90.00 90.00
Space group Pbam (No. 55)
Inequivalent atoms, fractional coordinates:
Li 0.0861 0.1451 0.0000 [4 per cell]
Li 0.2150 0.4327 0.0000 [4 per cell]
Al 0.0340 0.6919 0.0000 [4 per cell]
Ag 0.0000 0.0000 0.5000 [2 per cell]
Ag 0.1282 0.5659 0.5000 [4 per cell]
Ag 0.2289 0.7918 0.5000 [4 per cell]

=====

(4)
Theoretical X-ray diffraction stick pattern
Compound: SnPd3O6
Radiation: λ = 1.5418 Å (Cu Kα)
Structure: a PBE-relaxed structure
Intensities are scaled so that the largest is 100.

Principal peaks in the range 10 to 90 degrees two-theta, by angle:
2θ = 31.23°, I 100.0, hkl 0 2 1
2θ = 35.66°, I 10.7, hkl 0 4 0
2θ = 36.49°, I 20.5, hkl 2 0 1
2θ = 51.94°, I 32.9, hkl 2 4 1
2θ = 52.50°, I 8.2, hkl 0 0 2
2θ = 52.61°, I 7.6, hkl 4 0 0
2θ = 61.31°, I 14.4, hkl 2 6 0
2θ = 62.41°, I 27.2, hkl 4 2 1
2θ = 65.18°, I 4.5, hkl 4 4 0
2θ = 77.52°, I 4.6, hkl 4 0 2
2θ = 84.94°, I 11.7, hkl 2 6 2
2θ = 86.90°, I 4.3, hkl 2 8 1

Lattice parameters (Å, degrees): 6.9583 10.0715 3.4863 90.00 90.00 90.00
Space group Cmmm (No. 65)
Inequivalent atoms, fractional coordinates:
Sn 0.0000 0.0000 0.0000 [2 per cell]
Pd 0.0000 0.5000 0.0000 [2 per cell]
Pd 0.2500 0.2500 0.5000 [4 per cell]
O 0.0000 0.1397 0.5000 [4 per cell]
O 0.2174 0.3725 0.0000 [8 per cell]

=====

(5)
Theoretical X-ray diffraction stick pattern
Compound: Pm2PrGa3
Radiation: λ = 1.5418 Å (Cu Kα)
Structure: a PBE-relaxed structure
Intensities are scaled so that the largest is 100.

Principal peaks in the range 10 to 90 degrees two-theta, by angle:
2θ = 24.14°, I 13.3, hkl 0 0 3
2θ = 34.40°, I 100.0, hkl 1 1 0
2θ = 42.46°, I 4.0, hkl 1 1 3
2θ = 49.32°, I 5.9, hkl 0 0 6
2θ = 49.49°, I 11.9, hkl 2 0 0
2θ = 55.79°, I 3.7, hkl 2 0 3
2θ = 61.53°, I 12.1, hkl 1 1 6
2θ = 61.65°, I 24.2, hkl 2 1 3
2θ = 72.46°, I 7.4, hkl 2 0 6
2θ = 72.60°, I 3.7, hkl 2 2 0
2θ = 82.58°, I 5.1, hkl 1 0 9
2θ = 82.87°, I 10.4, hkl 3 1 0

Lattice parameters (Å, degrees): 3.6833 3.6833 11.0869 90.00 90.00 90.00
Space group P4/mmm (No. 123)
Inequivalent atoms, fractional coordinates:
Pm 0.0000 0.0000 0.1648 [2 per cell]
Pr 0.0000 0.0000 0.5000 [1 per cell]
Ga 0.5000 0.5000 0.0000 [1 per cell]
Ga 0.5000 0.5000 0.3281 [2 per cell]